For CsCaCrF6, DFT lattice parameters and positions (PBE+U) gives the calculated X-ray powder pattern in this record (a wavelength of 1.5418 Å).
Lines closer than 0.1° are merged.

Atomic structure:
```
data_CsCaCrF6
_symmetry_space_group_name_H-M 'C 1 2/m 1'
_symmetry_Int_Tables_number 12
_cell_length_a 13.4063
_cell_length_b 7.7085
_cell_length_c 7.9454
_cell_angle_alpha 90.00
_cell_angle_beta 126.28
_cell_angle_gamma 90.00
loop_
_symmetry_equiv_pos_as_xyz
'x,y,z'
'-x,-y,-z'
'-x,y,-z'
'x,-y,z'
'x+1/2,y+1/2,z'
'-x+1/2,-y+1/2,-z'
'-x+1/2,y+1/2,-z'
'x+1/2,-y+1/2,z'
loop_
_atom_site_label
_atom_site_fract_x
_atom_site_fract_y
_atom_site_fract_z
Cs1 0.1154 0.0000 0.3643
Ca1 0.0000 0.5000 0.0000
Ca2 0.0000 0.5000 0.5000
Cr1 0.2500 0.2500 0.0000
F1 0.0961 0.5000 0.3458
F2 0.1238 0.2735 0.0454
F3 0.1258 0.2755 0.7021
F4 0.2167 0.0000 0.9642
```

Most intense lines, 10° ≤ 2θ ≤ 90°, sorted by position:
- d 3.973, intensity 29
- d 3.864, intensity 77
- d 3.357, intensity 73
- d 3.302, intensity 100
- d 3.281, intensity 57
- d 3.264, intensity 26
- d 3.138, intensity 18
- d 2.134, intensity 35
- d 1.933, intensity 58
- d 1.927, intensity 22